For Ce2AlTc, a cell relaxed with GGA-PBE gives the calculated PXRD pattern in this record (λ = 1.5418 Å (Cu Kα)).

Cell lengths 8.220, 6.793, 6.370 Å; angles 90.00, 90.00, 90.00 degrees
Sites, in units of the cell vectors:
Ce1 0.184 0.142 0.250
Ce2 0.184 0.858 0.750
Ce3 0.316 0.358 0.750
Ce4 0.316 0.642 0.250
Ce5 0.684 0.358 0.750
Ce6 0.684 0.642 0.250
Ce7 0.816 0.142 0.250
Ce8 0.816 0.858 0.750
Al1 0.000 0.500 0.000
Al2 0.000 0.500 0.500
Al3 0.500 0.000 0.000
Al4 0.500 0.000 0.500
Tc1 0.000 0.196 0.750
Tc2 0.000 0.804 0.250
Tc3 0.500 0.304 0.250
Tc4 0.500 0.696 0.750

The 8 most intense peaks (5° ≤ 2θ ≤ 70°), in order of rising 2θ:
16.93°, I = 24; 28.01°, I = 79; 29.81°, I = 47; 32.91°, I = 29; 37.13°, I = 73; 38.13°, I = 100; 50.70°, I = 23; 56.48°, I = 32


For GaFe3H, a cell relaxed with GGA-PBE gives the calculated PXRD pattern in this record (λ = 1.5418 Å (Cu Kα)).

Cell lengths 4.755, 6.629, 6.961 Å; angles 90.00, 90.00, 90.00 degrees
Sites, in units of the cell vectors:
Ga1 0.000 0.000 0.000
Ga2 0.000 0.500 0.000
Ga3 0.500 0.000 0.500
Ga4 0.500 0.500 0.500
Fe1 0.000 0.075 0.347
Fe2 0.000 0.425 0.347
Fe3 0.000 0.575 0.653
Fe4 0.000 0.925 0.653
Fe5 0.250 0.250 0.750
Fe6 0.250 0.750 0.250
Fe7 0.500 0.075 0.153
Fe8 0.500 0.425 0.153
Fe9 0.500 0.575 0.847
Fe10 0.500 0.925 0.847
Fe11 0.750 0.250 0.750
Fe12 0.750 0.750 0.250
H1 0.001 0.250 0.552
H2 0.499 0.750 0.052
H3 0.501 0.250 0.948
H4 0.999 0.750 0.448

The 8 most intense peaks (5° ≤ 2θ ≤ 70°), in order of rising 2θ:
37.47°, I = 51; 37.84°, I = 38; 42.43°, I = 64; 42.94°, I = 70; 43.40°, I = 100; 47.04°, I = 90; 51.80°, I = 66; 52.71°, I = 37


For LiNiSnPt, a cell relaxed with GGA-PBE gives the calculated PXRD pattern in this record (λ = 1.5418 Å (Cu Kα)).

Cell lengths 4.029, 4.029, 7.286 Å; angles 90.00, 90.00, 90.00 degrees
Sites, in units of the cell vectors:
Li1 0.000 0.000 0.000
Li2 0.500 0.500 0.500
Ni1 0.000 0.500 0.250
Ni2 0.500 0.000 0.750
Sn1 0.000 0.000 0.500
Sn2 0.500 0.500 0.000
Pt1 0.000 0.500 0.750
Pt2 0.500 0.000 0.250

The 8 most intense peaks (5° ≤ 2θ ≤ 70°), in order of rising 2θ:
25.26°, I = 66; 40.18°, I = 100; 43.51°, I = 16; 45.00°, I = 36; 50.08°, I = 13; 52.30°, I = 19; 65.53°, I = 12; 69.58°, I = 20


For Na2Pd3F8, a cell relaxed with GGA-PBE gives the calculated PXRD pattern in this record (λ = 1.5418 Å (Cu Kα)).

Cell lengths 6.596, 6.596, 5.638 Å; angles 106.17, 106.17, 60.56 degrees
Sites, in units of the cell vectors:
Na1 0.218 0.218 0.138
Na2 0.782 0.782 0.862
Pd1 0.244 0.756 0.500
Pd2 0.500 0.500 0.000
Pd3 0.756 0.244 0.500
F1 0.106 0.106 0.411
F2 0.158 0.607 0.104
F3 0.392 0.392 0.589
F4 0.393 0.842 0.896
F5 0.607 0.158 0.104
F6 0.608 0.608 0.411
F7 0.842 0.393 0.896
F8 0.894 0.894 0.589

The 8 most intense peaks (5° ≤ 2θ ≤ 70°), in order of rising 2θ:
15.65°, I = 24; 16.44°, I = 100; 31.67°, I = 30; 33.22°, I = 61; 33.59°, I = 25; 42.22°, I = 40; 42.37°, I = 21; 50.66°, I = 23


For PmDy2Er3Tm6, a cell relaxed with GGA-PBE gives the calculated PXRD pattern in this record (λ = 1.5418 Å (Cu Kα)).

Cell lengths 6.085, 6.085, 11.630 Å; angles 95.00, 95.00, 119.93 degrees
Sites, in units of the cell vectors:
Pm1 0.000 0.000 0.000
Dy1 0.333 0.667 0.000
Dy2 0.667 0.333 0.000
Er1 0.167 0.833 0.500
Er2 0.500 0.500 0.500
Er3 0.833 0.167 0.500
Tm1 0.085 0.418 0.252
Tm2 0.249 0.249 0.748
Tm3 0.418 0.085 0.252
Tm4 0.582 0.915 0.748
Tm5 0.751 0.751 0.252
Tm6 0.915 0.582 0.748

The 8 most intense peaks (5° ≤ 2θ ≤ 70°), in order of rising 2θ:
31.19°, I = 100; 36.18°, I = 51; 52.08°, I = 30; 52.13°, I = 6; 61.94°, I = 25; 62.02°, I = 18; 65.03°, I = 9; 65.17°, I = 3


For Mn3Co, a cell relaxed with GGA-PBE gives the calculated PXRD pattern in this record (λ = 1.5418 Å (Cu Kα)).

Cell lengths 2.477, 2.477, 7.972 Å; angles 90.00, 90.00, 120.00 degrees
Sites, in units of the cell vectors:
Mn1 0.000 0.000 0.000
Mn2 0.333 0.667 0.251
Mn3 0.333 0.667 0.749
Co1 0.000 0.000 0.500

The 5 most intense peaks (5° ≤ 2θ ≤ 70°), in order of rising 2θ:
11.10°, I = 1; 42.12°, I = 25; 45.51°, I = 27; 48.17°, I = 100; 63.74°, I = 13


For NaZrScO4, a cell relaxed with GGA-PBE gives the calculated PXRD pattern in this record (λ = 1.5418 Å (Cu Kα)).

Cell lengths 3.220, 11.360, 9.658 Å; angles 90.00, 90.00, 90.00 degrees
Sites, in units of the cell vectors:
Na1 0.000 0.104 0.000
Na2 0.000 0.896 0.500
Na3 0.500 0.391 0.510
Na4 0.500 0.609 0.010
Zr1 0.000 0.138 0.324
Zr2 0.000 0.356 0.835
Zr3 0.000 0.644 0.335
Zr4 0.000 0.862 0.824
Sc1 0.500 0.142 0.678
Sc2 0.500 0.362 0.185
Sc3 0.500 0.638 0.685
Sc4 0.500 0.858 0.178
O1 0.000 0.032 0.736
O2 0.000 0.265 0.643
O3 0.000 0.323 0.327
O4 0.000 0.403 0.047
O5 0.000 0.597 0.547
O6 0.000 0.677 0.827
O7 0.000 0.735 0.143
O8 0.000 0.968 0.236
O9 0.500 0.096 0.462
O10 0.500 0.175 0.182
O11 0.500 0.234 0.873
O12 0.500 0.466 0.774
O13 0.500 0.534 0.274
O14 0.500 0.766 0.373
O15 0.500 0.825 0.682
O16 0.500 0.904 0.962

The 8 most intense peaks (5° ≤ 2θ ≤ 70°), in order of rising 2θ:
18.12°, I = 87; 18.37°, I = 76; 31.50°, I = 55; 31.95°, I = 95; 33.30°, I = 100; 33.45°, I = 48; 46.60°, I = 55; 57.23°, I = 59


For Pr2Er4Th, a cell relaxed with GGA-PBE gives the calculated PXRD pattern in this record (λ = 1.5418 Å (Cu Kα)).

Cell lengths 6.252, 3.610, 20.330 Å; angles 90.00, 95.89, 90.00 degrees
Sites, in units of the cell vectors:
Pr1 0.000 0.000 0.000
Pr2 0.095 0.000 0.289
Pr3 0.500 0.500 0.000
Pr4 0.595 0.500 0.289
Er1 0.190 0.000 0.572
Er2 0.213 0.500 0.143
Er3 0.286 0.000 0.855
Er4 0.310 0.500 0.435
Er5 0.690 0.500 0.572
Er6 0.713 0.000 0.143
Er7 0.786 0.500 0.855
Er8 0.810 0.000 0.435
Th1 0.405 0.500 0.713
Th2 0.905 0.000 0.713

The 8 most intense peaks (5° ≤ 2θ ≤ 70°), in order of rising 2θ:
28.59°, I = 36; 30.95°, I = 61; 32.21°, I = 100; 32.93°, I = 100; 50.57°, I = 43; 55.39°, I = 20; 56.79°, I = 22; 60.48°, I = 50